[1]
Theoretical PXRD pattern
Compound: TbPaOsRu
Radiation: CuKα
Structure: a DFT-relaxed cell (GGA-PBE, Alexandria)

Most intense lines, 2θ = 10–90°, low angle first:
2θ = 22.4°, intensity 6
2θ = 26.0°, intensity 2
2θ = 37.0°, intensity 100
2θ = 43.7°, intensity 3
2θ = 53.4°, intensity 18
2θ = 58.6°, intensity 1
2θ = 66.7°, intensity 36
2θ = 71.4°, intensity 1
2θ = 78.9°, intensity 11
2θ = 83.3°, intensity 1

Crystal structure
```
data_TbPaOsRu
_symmetry_space_group_name_H-M 'P 1'
_symmetry_Int_Tables_number 1
_symmetry_space_group_name_Hall 'P 1'
_cell_length_a 6.866
_cell_length_b 6.866
_cell_length_c 6.866
_cell_angle_alpha 90.00
_cell_angle_beta 90.00
_cell_angle_gamma 90.00
loop_
_atom_site_label
_atom_site_fract_x
_atom_site_fract_y
_atom_site_fract_z
Tb1 0.000 0.000 0.000
Tb2 0.000 0.500 0.500
Tb3 0.500 0.000 0.500
Tb4 0.500 0.500 0.000
Pa1 0.000 0.000 0.500
Pa2 0.000 0.500 0.000
Pa3 0.500 0.000 0.000
Pa4 0.500 0.500 0.500
Os1 0.250 0.250 0.750
Os2 0.250 0.750 0.250
Os3 0.750 0.250 0.250
Os4 0.750 0.750 0.750
Ru1 0.250 0.250 0.250
Ru2 0.250 0.750 0.750
Ru3 0.750 0.250 0.750
Ru4 0.750 0.750 0.250
```

[2]
Theoretical PXRD pattern
Compound: PaSb12Os4
Radiation: CuKα
Structure: a DFT-relaxed cell (GGA-PBE, Alexandria)

Most intense lines, 2θ = 10–90°, low angle first:
2θ = 18.9°, intensity 19
2θ = 26.9°, intensity 35
2θ = 30.1°, intensity 100
2θ = 35.8°, intensity 55
2θ = 43.1°, intensity 40
2θ = 47.4°, intensity 64
2θ = 49.5°, intensity 30
2θ = 62.6°, intensity 18
2θ = 67.7°, intensity 18
2θ = 88.3°, intensity 26

Crystal structure
```
data_PaSb12Os4
_symmetry_space_group_name_H-M 'P 1'
_symmetry_Int_Tables_number 1
_symmetry_space_group_name_Hall 'P 1'
_cell_length_a 8.131
_cell_length_b 8.131
_cell_length_c 8.131
_cell_angle_alpha 109.47
_cell_angle_beta 109.47
_cell_angle_gamma 109.47
loop_
_atom_site_label
_atom_site_fract_x
_atom_site_fract_y
_atom_site_fract_z
Pa1 0.000 0.000 0.000
Sb1 0.156 0.337 0.494
Sb2 0.156 0.663 0.819
Sb3 0.181 0.844 0.337
Sb4 0.337 0.181 0.844
Sb5 0.337 0.494 0.156
Sb6 0.494 0.156 0.337
Sb7 0.506 0.844 0.663
Sb8 0.663 0.506 0.844
Sb9 0.663 0.819 0.156
Sb10 0.819 0.156 0.663
Sb11 0.844 0.337 0.181
Sb12 0.844 0.663 0.506
Os1 0.000 0.000 0.500
Os2 0.000 0.500 0.000
Os3 0.500 0.000 0.000
Os4 0.500 0.500 0.500
```

[3]
Theoretical PXRD pattern
Compound: ScPaTcOs
Radiation: CuKα
Structure: a DFT-relaxed cell (GGA-PBE, Alexandria)

Most intense lines, 2θ = 10–90°, low angle first:
2θ = 23.0°, intensity 30
2θ = 38.0°, intensity 100
2θ = 44.9°, intensity 17
2θ = 54.8°, intensity 17
2θ = 60.2°, intensity 7
2θ = 68.6°, intensity 35
2θ = 73.4°, intensity 6
2θ = 81.2°, intensity 11
2θ = 85.8°, intensity 6

Crystal structure
```
data_ScPaTcOs
_symmetry_space_group_name_H-M 'P 1'
_symmetry_Int_Tables_number 1
_symmetry_space_group_name_Hall 'P 1'
_cell_length_a 6.699
_cell_length_b 6.699
_cell_length_c 6.699
_cell_angle_alpha 90.00
_cell_angle_beta 90.00
_cell_angle_gamma 90.00
loop_
_atom_site_label
_atom_site_fract_x
_atom_site_fract_y
_atom_site_fract_z
Sc1 0.000 0.000 0.000
Sc2 0.000 0.500 0.500
Sc3 0.500 0.000 0.500
Sc4 0.500 0.500 0.000
Pa1 0.000 0.000 0.500
Pa2 0.000 0.500 0.000
Pa3 0.500 0.000 0.000
Pa4 0.500 0.500 0.500
Tc1 0.250 0.250 0.750
Tc2 0.250 0.750 0.250
Tc3 0.750 0.250 0.250
Tc4 0.750 0.750 0.750
Os1 0.250 0.250 0.250
Os2 0.250 0.750 0.750
Os3 0.750 0.250 0.750
Os4 0.750 0.750 0.250
```

[4]
Theoretical PXRD pattern
Compound: Sm3PaOs8
Radiation: CuKα
Structure: a DFT-relaxed cell (GGA-PBE, Alexandria)

Most intense lines, 2θ = 10–90°, low angle first:
2θ = 20.1°, intensity 9
2θ = 33.2°, intensity 24
2θ = 39.1°, intensity 100
2θ = 40.9°, intensity 44
2θ = 47.6°, intensity 6
2θ = 59.3°, intensity 9
2θ = 63.3°, intensity 33
2θ = 69.7°, intensity 29
2θ = 82.9°, intensity 9
2θ = 84.1°, intensity 17

Crystal structure
```
data_Sm3PaOs8
_symmetry_space_group_name_H-M 'P 1'
_symmetry_Int_Tables_number 1
_symmetry_space_group_name_Hall 'P 1'
_cell_length_a 9.357
_cell_length_b 9.357
_cell_length_c 9.357
_cell_angle_alpha 33.52
_cell_angle_beta 33.52
_cell_angle_gamma 33.52
loop_
_atom_site_label
_atom_site_fract_x
_atom_site_fract_y
_atom_site_fract_z
Sm1 0.000 0.000 0.000
Sm2 0.124 0.124 0.124
Sm3 0.626 0.626 0.626
Pa1 0.500 0.500 0.500
Os1 0.063 0.063 0.560
Os2 0.063 0.560 0.063
Os3 0.064 0.563 0.563
Os4 0.313 0.313 0.313
Os5 0.560 0.063 0.063
Os6 0.563 0.064 0.563
Os7 0.563 0.563 0.064
Os8 0.813 0.813 0.813
```

[5]
Theoretical PXRD pattern
Compound: Pa7Sn2Os2
Radiation: CuKα
Structure: a DFT-relaxed cell (GGA-PBE, Alexandria)

Most intense lines, 2θ = 10–90°, low angle first:
2θ = 25.2°, intensity 45
2θ = 26.9°, intensity 70
2θ = 30.9°, intensity 43
2θ = 33.8°, intensity 73
2θ = 35.0°, intensity 23
2θ = 39.0°, intensity 100
2θ = 39.3°, intensity 38
2θ = 42.6°, intensity 47
2θ = 55.5°, intensity 25
2θ = 64.0°, intensity 20

Crystal structure
```
data_Pa7Sn2Os2
_symmetry_space_group_name_H-M 'P 1'
_symmetry_Int_Tables_number 1
_symmetry_space_group_name_Hall 'P 1'
_cell_length_a 6.786
_cell_length_b 6.786
_cell_length_c 6.438
_cell_angle_alpha 90.00
_cell_angle_beta 90.00
_cell_angle_gamma 102.70
loop_
_atom_site_label
_atom_site_fract_x
_atom_site_fract_y
_atom_site_fract_z
Pa1 0.000 0.000 0.000
Pa2 0.000 0.500 0.280
Pa3 0.000 0.500 0.720
Pa4 0.500 0.000 0.280
Pa5 0.500 0.000 0.720
Pa6 0.500 0.500 0.274
Pa7 0.500 0.500 0.726
Sn1 0.164 0.164 0.500
Sn2 0.836 0.836 0.500
Os1 0.274 0.726 0.000
Os2 0.726 0.274 0.000
```

[6]
Theoretical PXRD pattern
Compound: TbPa3Os2
Radiation: CuKα
Structure: a DFT-relaxed cell (GGA-PBE, Alexandria)

Most intense lines, 2θ = 10–90°, low angle first:
2θ = 29.4°, intensity 24
2θ = 29.9°, intensity 15
2θ = 33.3°, intensity 100
2θ = 33.9°, intensity 15
2θ = 34.0°, intensity 90
2θ = 35.4°, intensity 20
2θ = 37.8°, intensity 72
2θ = 39.6°, intensity 61
2θ = 53.2°, intensity 35
2θ = 67.9°, intensity 14

Crystal structure
```
data_TbPa3Os2
_symmetry_space_group_name_H-M 'P 1'
_symmetry_Int_Tables_number 1
_symmetry_space_group_name_Hall 'P 1'
_cell_length_a 8.361
_cell_length_b 8.361
_cell_length_c 8.389
_cell_angle_alpha 116.90
_cell_angle_beta 116.90
_cell_angle_gamma 31.58
loop_
_atom_site_label
_atom_site_fract_x
_atom_site_fract_y
_atom_site_fract_z
Tb1 0.112 0.112 0.036
Tb2 0.888 0.888 0.964
Pa1 0.062 0.062 0.412
Pa2 0.290 0.290 0.633
Pa3 0.373 0.373 0.303
Pa4 0.627 0.627 0.697
Pa5 0.710 0.710 0.367
Pa6 0.938 0.938 0.588
Os1 0.236 0.236 0.880
Os2 0.479 0.479 0.803
Os3 0.521 0.521 0.197
Os4 0.764 0.764 0.120
```

[7]
Theoretical PXRD pattern
Compound: Pa2TcOs
Radiation: CuKα
Structure: a DFT-relaxed cell (GGA-PBE, Alexandria)

Most intense lines, 2θ = 10–90°, low angle first:
2θ = 26.5°, intensity 5
2θ = 36.6°, intensity 100
2θ = 37.9°, intensity 45
2θ = 50.7°, intensity 10
2θ = 54.6°, intensity 16
2θ = 65.0°, intensity 19
2θ = 67.5°, intensity 34
2θ = 77.7°, intensity 12
2θ = 80.9°, intensity 5
2θ = 85.9°, intensity 9

Crystal structure
```
data_Pa2TcOs
_symmetry_space_group_name_H-M 'P 1'
_symmetry_Int_Tables_number 1
_symmetry_space_group_name_Hall 'P 1'
_cell_length_a 4.752
_cell_length_b 4.752
_cell_length_c 3.603
_cell_angle_alpha 90.00
_cell_angle_beta 90.00
_cell_angle_gamma 90.00
loop_
_atom_site_label
_atom_site_fract_x
_atom_site_fract_y
_atom_site_fract_z
Pa1 0.000 0.500 0.000
Pa2 0.500 0.000 0.000
Tc1 0.000 0.000 0.500
Os1 0.500 0.500 0.500
```

[8]
Theoretical PXRD pattern
Compound: Pa6Tc5Os
Radiation: CuKα
Structure: a DFT-relaxed cell (GGA-PBE, Alexandria)

Most intense lines, 2θ = 10–90°, low angle first:
2θ = 29.3°, intensity 35
2θ = 32.3°, intensity 63
2θ = 32.7°, intensity 100
2θ = 33.0°, intensity 17
2θ = 34.9°, intensity 12
2θ = 43.4°, intensity 39
2θ = 43.9°, intensity 20
2θ = 49.7°, intensity 34
2θ = 49.9°, intensity 12
2θ = 60.7°, intensity 12

Crystal structure
```
data_Pa6Tc5Os
_symmetry_space_group_name_H-M 'P 1'
_symmetry_Int_Tables_number 1
_symmetry_space_group_name_Hall 'P 1'
_cell_length_a 6.341
_cell_length_b 6.341
_cell_length_c 7.663
_cell_angle_alpha 98.46
_cell_angle_beta 98.46
_cell_angle_gamma 119.71
loop_
_atom_site_label
_atom_site_fract_x
_atom_site_fract_y
_atom_site_fract_z
Pa1 0.058 0.401 0.716
Pa2 0.229 0.229 0.195
Pa3 0.401 0.058 0.716
Pa4 0.599 0.942 0.284
Pa5 0.771 0.771 0.805
Pa6 0.942 0.599 0.284
Tc1 0.000 0.000 0.500
Tc2 0.224 0.776 0.000
Tc3 0.370 0.630 0.500
Tc4 0.630 0.370 0.500
Tc5 0.776 0.224 0.000
Os1 0.500 0.500 0.000
```

[9]
Theoretical PXRD pattern
Compound: Th2PaOs2
Radiation: CuKα
Structure: a DFT-relaxed cell (GGA-PBE, Alexandria)

Most intense lines, 2θ = 10–90°, low angle first:
2θ = 31.0°, intensity 68
2θ = 31.6°, intensity 88
2θ = 32.1°, intensity 97
2θ = 33.3°, intensity 100
2θ = 35.5°, intensity 99
2θ = 35.8°, intensity 68
2θ = 37.2°, intensity 66
2θ = 37.8°, intensity 40
2θ = 39.3°, intensity 72
2θ = 41.2°, intensity 40

Crystal structure
```
data_Th2PaOs2
_symmetry_space_group_name_H-M 'P 1'
_symmetry_Int_Tables_number 1
_symmetry_space_group_name_Hall 'P 1'
_cell_length_a 9.284
_cell_length_b 7.838
_cell_length_c 6.848
_cell_angle_alpha 90.00
_cell_angle_beta 105.20
_cell_angle_gamma 90.00
loop_
_atom_site_label
_atom_site_fract_x
_atom_site_fract_y
_atom_site_fract_z
Th1 0.076 0.217 0.027
Th2 0.076 0.283 0.527
Th3 0.252 0.607 0.238
Th4 0.252 0.893 0.738
Th5 0.748 0.107 0.262
Th6 0.748 0.393 0.762
Th7 0.924 0.717 0.473
Th8 0.924 0.783 0.973
Pa1 0.420 0.202 0.459
Pa2 0.420 0.298 0.959
Pa3 0.580 0.702 0.041
Pa4 0.580 0.798 0.541
Os1 0.149 0.546 0.809
Os2 0.149 0.954 0.309
Os3 0.413 0.524 0.667
Os4 0.413 0.976 0.167
Os5 0.587 0.024 0.833
Os6 0.587 0.476 0.333
Os7 0.851 0.046 0.691
Os8 0.851 0.454 0.191
```

[10]
Theoretical PXRD pattern
Compound: PaTiOs
Radiation: CuKα
Structure: a DFT-relaxed cell (GGA-PBE, Alexandria)

Most intense lines, 2θ = 10–90°, low angle first:
2θ = 24.6°, intensity 63
2θ = 31.4°, intensity 22
2θ = 37.1°, intensity 100
2θ = 40.2°, intensity 36
2θ = 42.8°, intensity 76
2θ = 57.9°, intensity 28
2θ = 62.7°, intensity 14
2θ = 74.6°, intensity 26
2θ = 77.7°, intensity 14
2θ = 78.4°, intensity 13

Crystal structure
```
data_PaTiOs
_symmetry_space_group_name_H-M 'P 1'
_symmetry_Int_Tables_number 1
_symmetry_space_group_name_Hall 'P 1'
_cell_length_a 7.940
_cell_length_b 7.940
_cell_length_c 7.940
_cell_angle_alpha 30.87
_cell_angle_beta 30.87
_cell_angle_gamma 30.87
loop_
_atom_site_label
_atom_site_fract_x
_atom_site_fract_y
_atom_site_fract_z
Pa1 0.206 0.206 0.206
Pa2 0.794 0.794 0.794
Ti1 0.359 0.359 0.359
Ti2 0.641 0.641 0.641
Os1 0.062 0.062 0.062
Os2 0.938 0.938 0.938
```

[11]
Theoretical PXRD pattern
Compound: ZrPaOs4
Radiation: CuKα
Structure: a DFT-relaxed cell (GGA-PBE, Alexandria)

Most intense lines, 2θ = 10–90°, low angle first:
2θ = 20.4°, intensity 14
2θ = 33.7°, intensity 22
2θ = 39.7°, intensity 100
2θ = 41.6°, intensity 46
2θ = 48.4°, intensity 7
2θ = 60.2°, intensity 8
2θ = 64.3°, intensity 33
2θ = 70.8°, intensity 29
2θ = 84.4°, intensity 12
2θ = 85.6°, intensity 18

Crystal structure
```
data_ZrPaOs4
_symmetry_space_group_name_H-M 'P 1'
_symmetry_Int_Tables_number 1
_symmetry_space_group_name_Hall 'P 1'
_cell_length_a 5.321
_cell_length_b 5.321
_cell_length_c 5.321
_cell_angle_alpha 60.00
_cell_angle_beta 60.00
_cell_angle_gamma 60.00
loop_
_atom_site_label
_atom_site_fract_x
_atom_site_fract_y
_atom_site_fract_z
Zr1 0.000 0.000 0.000
Pa1 0.250 0.250 0.250
Os1 0.124 0.625 0.625
Os2 0.625 0.124 0.625
Os3 0.625 0.625 0.124
Os4 0.625 0.625 0.625
```

[12]
Theoretical PXRD pattern
Compound: Os2Pb3
Radiation: CuKα
Structure: a DFT-relaxed cell (GGA-PBE, Alexandria)

Most intense lines, 2θ = 10–90°, low angle first:
2θ = 28.2°, intensity 69
2θ = 32.2°, intensity 63
2θ = 33.1°, intensity 63
2θ = 33.7°, intensity 100
2θ = 36.4°, intensity 69
2θ = 37.0°, intensity 59
2θ = 38.9°, intensity 47
2θ = 39.6°, intensity 43
2θ = 41.6°, intensity 76
2θ = 43.2°, intensity 60

Crystal structure
```
data_Os2Pb3
_symmetry_space_group_name_H-M 'P 1'
_symmetry_Int_Tables_number 1
_symmetry_space_group_name_Hall 'P 1'
_cell_length_a 8.962
_cell_length_b 5.486
_cell_length_c 9.735
_cell_angle_alpha 65.35
_cell_angle_beta 33.81
_cell_angle_gamma 80.84
loop_
_atom_site_label
_atom_site_fract_x
_atom_site_fract_y
_atom_site_fract_z
Os1 0.074 0.426 0.138
Os2 0.112 0.888 0.176
Os3 0.426 0.074 0.362
Os4 0.888 0.112 0.824
Pb1 0.003 0.003 0.497
Pb2 0.033 0.482 0.859
Pb3 0.391 0.623 0.217
Pb4 0.482 0.033 0.627
Pb5 0.623 0.391 0.768
Pb6 0.753 0.753 0.247
```

[13]
Theoretical PXRD pattern
Compound: OsPb2
Radiation: CuKα
Structure: a DFT-relaxed cell (GGA-PBE, Alexandria)

Most intense lines, 2θ = 10–90°, low angle first:
2θ = 29.6°, intensity 23
2θ = 33.8°, intensity 69
2θ = 34.0°, intensity 100
2θ = 35.5°, intensity 85
2θ = 38.6°, intensity 44
2θ = 39.0°, intensity 39
2θ = 40.0°, intensity 32
2θ = 43.1°, intensity 22
2θ = 54.0°, intensity 24
2θ = 65.3°, intensity 21

Crystal structure
```
data_OsPb2
_symmetry_space_group_name_H-M 'P 1'
_symmetry_Int_Tables_number 1
_symmetry_space_group_name_Hall 'P 1'
_cell_length_a 8.257
_cell_length_b 3.394
_cell_length_c 9.725
_cell_angle_alpha 90.00
_cell_angle_beta 90.00
_cell_angle_gamma 90.00
loop_
_atom_site_label
_atom_site_fract_x
_atom_site_fract_y
_atom_site_fract_z
Os1 0.185 0.250 0.177
Os2 0.315 0.750 0.677
Os3 0.685 0.250 0.323
Os4 0.815 0.750 0.823
Pb1 0.018 0.250 0.658
Pb2 0.159 0.750 0.942
Pb3 0.341 0.250 0.442
Pb4 0.482 0.750 0.158
Pb5 0.518 0.250 0.842
Pb6 0.659 0.750 0.558
Pb7 0.841 0.250 0.058
Pb8 0.982 0.750 0.342
```

[14]
Theoretical PXRD pattern
Compound: Tb4OsPb
Radiation: CuKα
Structure: a DFT-relaxed cell (GGA-PBE, Alexandria)

Most intense lines, 2θ = 10–90°, low angle first:
2θ = 12.5°, intensity 25
2θ = 13.0°, intensity 37
2θ = 29.7°, intensity 52
2θ = 30.6°, intensity 31
2θ = 30.9°, intensity 59
2θ = 33.9°, intensity 100
2θ = 34.7°, intensity 32
2θ = 35.2°, intensity 47
2θ = 36.3°, intensity 33
2θ = 38.2°, intensity 32

Crystal structure
```
data_Tb4OsPb
_symmetry_space_group_name_H-M 'P 1'
_symmetry_Int_Tables_number 1
_symmetry_space_group_name_Hall 'P 1'
_cell_length_a 8.135
_cell_length_b 8.135
_cell_length_c 6.172
_cell_angle_alpha 102.01
_cell_angle_beta 102.01
_cell_angle_gamma 113.44
loop_
_atom_site_label
_atom_site_fract_x
_atom_site_fract_y
_atom_site_fract_z
Tb1 0.057 0.723 0.938
Tb2 0.207 0.346 0.648
Tb3 0.277 0.943 0.562
Tb4 0.346 0.207 0.148
Tb5 0.654 0.793 0.852
Tb6 0.723 0.057 0.438
Tb7 0.793 0.654 0.352
Tb8 0.943 0.277 0.062
Os1 0.000 0.000 0.250
Os2 0.000 0.000 0.750
Pb1 0.371 0.629 0.250
Pb2 0.629 0.371 0.750
```